[1]
For Th2Ru6C5, a PBE-relaxed structure gives the computed powder diffraction line list in this record (a wavelength of 1.5418 Å).
Peak positions follow from Bragg's law for the DFT cell and can differ from measured ones.

Atomic structure:
```
Th2Ru6C5
1.0
9.1491 0.0000 0.0000
0.0000 9.1491 0.0000
0.0000 0.0000 4.2016
Th Ru C
4 12 10
Direct
0.1736 0.3264 0.0000
0.3264 0.8264 0.0000
0.6736 0.1736 0.0000
0.8264 0.6736 0.0000
0.0000 0.0000 0.0000
0.0000 0.5000 0.5000
0.0713 0.7884 0.5000
0.2116 0.0713 0.5000
0.2884 0.5713 0.5000
0.4287 0.2884 0.5000
0.5000 0.0000 0.5000
0.5000 0.5000 0.0000
0.5713 0.7116 0.5000
0.7116 0.4287 0.5000
0.7884 0.9287 0.5000
0.9287 0.2116 0.5000
0.0000 0.0000 0.5000
0.1259 0.6259 0.1707
0.1259 0.6259 0.8293
0.3741 0.1259 0.1707
0.3741 0.1259 0.8293
0.5000 0.5000 0.5000
0.6259 0.8741 0.1707
0.6259 0.8741 0.8293
0.8741 0.3741 0.1707
0.8741 0.3741 0.8293
```

Principal peaks in the range 2θ = 10–90°, by angle:
- 4.092 Å, 21.7°, I 18
- 2.931 Å, 30.5°, I 100
- 2.563 Å, 35.0°, I 26
- 2.383 Å, 37.8°, I 86
- 2.219 Å, 40.7°, I 53
- 2.172 Å, 41.6°, I 18
- 2.156 Å, 41.9°, I 15
- 2.101 Å, 43.1°, I 30
- 2.046 Å, 44.3°, I 17
- 1.525 Å, 60.7°, I 37

=====

[2]
For U2RuC2, a PBE-relaxed structure gives the computed powder diffraction line list in this record (a wavelength of 1.5418 Å).
Peak positions follow from Bragg's law for the DFT cell and can differ from measured ones.

Atomic structure:
```
U2RuC2
1.0
-1.7208 1.7208 6.2794
1.7208 -1.7208 6.2794
1.7208 1.7208 -6.2794
U Ru C
2 1 2
Direct
0.1451 0.1451 0.0000
0.8549 0.8549 0.0000
0.5000 0.5000 0.0000
0.3280 0.3280 0.0000
0.6720 0.6720 0.0000
```

Principal peaks in the range 2θ = 10–90°, by angle:
- 3.319 Å, 26.9°, I 19
- 3.140 Å, 28.4°, I 14
- 2.659 Å, 33.7°, I 100
- 2.434 Å, 36.9°, I 53
- 2.093 Å, 43.2°, I 10
- 1.923 Å, 47.3°, I 15
- 1.721 Å, 53.2°, I 18
- 1.591 Å, 58.0°, I 11
- 1.587 Å, 58.1°, I 16
- 1.445 Å, 64.5°, I 33

=====

[3]
For URuC2, a PBE-relaxed structure gives the computed powder diffraction line list in this record (a wavelength of 1.5418 Å).
Peak positions follow from Bragg's law for the DFT cell and can differ from measured ones.

Atomic structure:
```
URuC2
1.0
5.4855 0.0000 0.0000
0.0000 3.3135 0.0000
0.0000 0.0000 10.8371
U Ru C
4 4 8
Direct
0.0853 0.2500 0.1427
0.4147 0.7500 0.6427
0.5853 0.2500 0.3573
0.9147 0.7500 0.8573
0.0934 0.7500 0.4016
0.4066 0.2500 0.9016
0.5934 0.7500 0.0984
0.9066 0.2500 0.5984
0.1509 0.2500 0.7548
0.2375 0.2500 0.4908
0.2625 0.7500 0.9908
0.3491 0.7500 0.2548
0.6509 0.2500 0.7452
0.7375 0.2500 0.0092
0.7625 0.7500 0.5092
0.8491 0.7500 0.2452
```

Principal peaks in the range 2θ = 10–90°, by angle:
- 3.169 Å, 28.2°, I 14
- 3.017 Å, 29.6°, I 26
- 2.744 Å, 32.6°, I 28
- 2.709 Å, 33.1°, I 29
- 2.659 Å, 33.7°, I 32
- 2.513 Å, 35.7°, I 100
- 2.231 Å, 40.4°, I 17
- 2.184 Å, 41.3°, I 16
- 1.814 Å, 50.3°, I 14
- 1.584 Å, 58.3°, I 18

=====

[4]
For Ru3W3C2, a PBE-relaxed structure gives the computed powder diffraction line list in this record (a wavelength of 1.5418 Å).
Peak positions follow from Bragg's law for the DFT cell and can differ from measured ones.

Atomic structure:
```
Ru3W3C2
1.0
2.8619 0.0000 0.0000
-1.4310 2.4785 0.0000
0.0000 0.0000 14.5433
Ru W C
3 3 2
Direct
0.0000 0.0000 0.0000
0.3333 0.6667 0.8164
0.6667 0.3333 0.1836
0.0000 0.0000 0.5000
0.3333 0.6667 0.3358
0.6667 0.3333 0.6642
0.3333 0.6667 0.0994
0.6667 0.3333 0.9006
```

Principal peaks in the range 2θ = 10–90°, by angle:
- 2.424 Å, 37.1°, I 34
- 2.346 Å, 38.4°, I 100
- 2.207 Å, 40.9°, I 8
- 2.048 Å, 44.2°, I 71
- 1.466 Å, 63.5°, I 21
- 1.431 Å, 65.2°, I 23
- 1.254 Å, 75.8°, I 11
- 1.232 Å, 77.5°, I 24
- 1.222 Å, 78.3°, I 13
- 1.173 Å, 82.2°, I 12

=====

[5]
For CS2, a PBE-relaxed structure gives the computed powder diffraction line list in this record (a wavelength of 1.5418 Å).
Peak positions follow from Bragg's law for the DFT cell and can differ from measured ones.

Atomic structure:
```
CS2
1.0
3.6458 -2.9943 0.0000
3.6458 2.9943 0.0000
0.0000 0.0000 9.8513
C S
2 4
Direct
0.0000 0.0000 0.0000
0.5000 0.5000 0.5000
0.1815 0.8185 0.8869
0.3185 0.6815 0.3869
0.6815 0.3185 0.6131
0.8185 0.1815 0.1131
```

Principal peaks in the range 2θ = 10–90°, by angle:
- 4.926 Å, 18.0°, I 9
- 4.189 Å, 21.2°, I 55
- 3.646 Å, 24.4°, I 53
- 3.373 Å, 26.4°, I 100
- 2.865 Å, 31.2°, I 9
- 2.253 Å, 40.0°, I 9
- 2.048 Å, 44.2°, I 21
- 2.041 Å, 44.4°, I 8
- 1.891 Å, 48.1°, I 15
- 1.686 Å, 54.4°, I 8

=====

[6]
For C2S, a PBE-relaxed structure gives the computed powder diffraction line list in this record (a wavelength of 1.5418 Å).
Peak positions follow from Bragg's law for the DFT cell and can differ from measured ones.

Atomic structure:
```
C2S
1.0
5.0780 0.0000 0.0000
0.0000 16.6991 0.0000
-0.1525 0.0000 11.3980
C S
32 16
Direct
0.0352 0.1385 0.3170
0.0385 0.1098 0.1034
0.0801 0.5492 0.8325
0.0835 0.5658 0.7107
0.1308 0.5000 0.0235
0.1352 0.5687 0.5075
0.1749 0.4862 0.9051
0.1794 0.5255 0.6102
0.3085 0.4517 0.5895
0.3133 0.4139 0.8849
0.3597 0.4390 0.4715
0.3711 0.3731 0.9882
0.4145 0.3904 0.6623
0.4162 0.3753 0.7845
0.4498 0.8052 0.1869
0.4517 0.8323 0.4010
0.5483 0.3323 0.5990
0.5502 0.3052 0.8131
0.5838 0.8753 0.2155
0.5855 0.8904 0.3377
0.6289 0.8731 0.0118
0.6403 0.9390 0.5285
0.6867 0.9139 0.1151
0.6915 0.9517 0.4105
0.8206 0.0255 0.3898
0.8251 0.9862 0.0949
0.8648 0.0687 0.4925
0.8692 0.0000 0.9765
0.9165 0.0658 0.2893
0.9199 0.0492 0.1675
0.9615 0.6098 0.8966
0.9648 0.6385 0.6830
0.0331 0.0908 0.9525
0.0349 0.1583 0.4678
0.1520 0.1880 0.1927
0.2532 0.5190 0.3837
0.2575 0.4232 0.1123
0.3263 0.7565 0.3101
0.4488 0.7854 0.0363
0.4561 0.8518 0.5521
0.5439 0.3518 0.4479
0.5512 0.2854 0.9637
0.6737 0.2565 0.6899
0.7425 0.9232 0.8877
0.7468 0.0190 0.6163
0.8480 0.6880 0.8073
0.9651 0.6583 0.5322
0.9669 0.5908 0.0475
```

Principal peaks in the range 2θ = 10–90°, by angle:
- 5.699 Å, 15.5°, I 15
- 5.002 Å, 17.7°, I 20
- 4.858 Å, 18.3°, I 36
- 4.448 Å, 20.0°, I 29
- 4.338 Å, 20.5°, I 100
- 4.039 Å, 22.0°, I 15
- 3.751 Å, 23.7°, I 29
- 2.878 Å, 31.1°, I 12
- 2.811 Å, 31.8°, I 21
- 2.126 Å, 42.5°, I 12

=====

[7]
For C3S4, a PBE-relaxed structure gives the computed powder diffraction line list in this record (a wavelength of 1.5418 Å).
Peak positions follow from Bragg's law for the DFT cell and can differ from measured ones.

Atomic structure:
```
C3S4
1.0
8.7917 0.0000 0.0000
0.0000 9.8966 0.0000
-3.2718 0.0000 13.7407
C S
24 32
Direct
0.0059 0.0703 0.0962
0.0059 0.4297 0.5962
0.0642 0.1423 0.0292
0.0642 0.3577 0.5292
0.1231 0.2247 0.5537
0.1231 0.2753 0.0537
0.3912 0.6445 0.6562
0.3912 0.8555 0.1562
0.4316 0.6422 0.4928
0.4316 0.8578 0.9928
0.4441 0.5763 0.5804
0.4441 0.9237 0.0804
0.5559 0.0763 0.9196
0.5559 0.4237 0.4196
0.5684 0.1422 0.0072
0.5684 0.3578 0.5072
0.6088 0.1445 0.8438
0.6088 0.3555 0.3438
0.8769 0.7247 0.9463
0.8769 0.7753 0.4463
0.9358 0.6423 0.4708
0.9358 0.8577 0.9708
0.9941 0.5703 0.4038
0.9941 0.9297 0.9038
0.0136 0.1472 0.2073
0.0136 0.3528 0.7073
0.0779 0.0907 0.9118
0.0779 0.4093 0.4118
0.1166 0.1777 0.6714
0.1166 0.3223 0.1714
0.1928 0.1194 0.4822
0.1928 0.3806 0.9822
0.3187 0.6949 0.1238
0.3187 0.8051 0.6238
0.3529 0.6960 0.9833
0.3529 0.8040 0.4833
0.3934 0.5837 0.7667
0.3934 0.9163 0.2667
0.4834 0.5882 0.3866
0.4834 0.9118 0.8866
0.5166 0.0882 0.1134
0.5166 0.4118 0.6134
0.6066 0.0837 0.7333
0.6066 0.4163 0.2333
0.6471 0.1960 0.5167
0.6471 0.3040 0.0167
0.6813 0.1949 0.3762
0.6813 0.3051 0.8762
0.8072 0.6194 0.0178
0.8072 0.8806 0.5178
0.8834 0.6777 0.8286
0.8834 0.8223 0.3286
0.9221 0.5907 0.5882
0.9221 0.9093 0.0882
0.9864 0.6472 0.2927
0.9864 0.8528 0.7927
```

Principal peaks in the range 2θ = 10–90°, by angle:
- 8.031 Å, 11.0°, I 21
- 6.870 Å, 12.9°, I 13
- 4.277 Å, 20.8°, I 14
- 3.926 Å, 22.7°, I 100
- 3.579 Å, 24.9°, I 47
- 3.459 Å, 25.8°, I 18
- 3.133 Å, 28.5°, I 12
- 2.961 Å, 30.2°, I 12
- 2.900 Å, 30.8°, I 17
- 1.888 Å, 48.2°, I 21